Calculated X-ray powder pattern of Cs2Tm4Cu4Se9 for Cu Kα (weighted mean of Kα1 and Kα2), from a structure optimized by DFT (PBE).
Neutral-atom scattering factors, no anomalous dispersion.

Peak list (10 most intense, 2θ = 10–90°, in order of rising 2θ)
- hkl 2 0 0, 2θ = 12.8°, I 71
- hkl 0 0 5, 2θ = 28.4°, I 100
- hkl 3 1 -2, 2θ = 28.9°, I 99
- hkl 3 1 0, 2θ = 29.1°, I 63
- hkl 3 1 -3, 2θ = 30.4°, I 45
- hkl 3 1 1, 2θ = 30.8°, I 89
- hkl 0 0 6, 2θ = 34.2°, I 45
- hkl 5 1 -2, 2θ = 37.7°, I 42
- hkl 0 2 0, 2θ = 44.0°, I 86
- hkl 3 1 -7, 2θ = 44.6°, I 53

```
data_Cs2Tm4Cu4Se9
_cell_length_a 14.6332
_cell_length_b 4.1121
_cell_length_c 16.6086
_cell_angle_alpha 90.00
_cell_angle_beta 108.68
_cell_angle_gamma 90.00
_space_group_name_H-M_alt 'C 1 2/m 1'
_space_group_IT_number 12
_space_group_name_Hall '-C 2y'
loop_
_atom_site_label
_atom_site_type_symbol
_atom_site_fract_x
_atom_site_fract_y
_atom_site_fract_z
Cs1 Cs 0.0314 0.0000 0.2722
Tm1 Tm 0.1532 0.5000 0.5555
Tm2 Tm 0.2302 0.0000 0.1022
Cu1 Cu 0.0717 0.5000 0.9656
Cu2 Cu 0.2495 0.0000 0.7317
Se1 Se 0.0000 0.0000 0.5000
Se2 Se 0.1074 0.5000 0.1240
Se3 Se 0.1424 0.0000 0.9251
Se4 Se 0.1584 0.5000 0.7248
Se5 Se 0.2092 0.5000 0.4036
```